# VP3Pb6O16
Calculated powder X-ray diffraction pattern, copper Kα. Input: a crystal structure in Alexandria, relaxed with GGA+U.
Neutral-atom scattering factors, no anomalous dispersion.

Cell: 6.0407 7.4908 10.1996 Å, 90.97 90.07 113.12°
Fractional positions:
V1 0.0000 0.0000 0.0000
P1 0.1892 0.3791 0.3311
P2 0.4839 0.0058 0.4977
P3 0.6501 0.3723 0.8294
Pb1 0.0238 0.8372 0.2903
Pb2 0.2919 0.8301 0.7721
Pb3 0.3676 0.5593 0.0537
Pb4 0.6477 0.5433 0.5483
Pb5 0.6768 0.1919 0.1682
Pb6 0.9827 0.1927 0.6660
O1 0.0256 0.1604 0.3140
O2 0.0524 0.4954 0.2677
O3 0.0534 0.2432 0.0134
O4 0.2168 0.9426 0.0846
O5 0.2329 0.9491 0.5668
O6 0.2440 0.4306 0.4799
O7 0.4341 0.9525 0.3491
O8 0.4354 0.4341 0.2568
O9 0.4607 0.4273 0.7511
O10 0.5951 0.1513 0.8179
O11 0.6190 0.8921 0.5657
O12 0.6457 0.2249 0.5137
O13 0.6470 0.4318 0.9762
O14 0.7317 0.8821 0.0843
O15 0.9007 0.4817 0.7638
O16 0.9916 0.9335 0.8331

Principal peaks in the range 15 to 90 degrees two-theta, low angle first:
- (0 1 2), 2θ 21.9, intensity 51
- (1 -1 2), 2θ 23.7, intensity 51
- (1 1 0), 2θ 24.2, intensity 49
- (1 -2 0), 2θ 24.5, intensity 38
- (1 1 1), 2θ 25.9, intensity 80
- (-1 2 1), 2θ 26.1, intensity 75
- (1 0 -3), 2θ 30.8, intensity 100
- (-2 1 1), 2θ 30.9, intensity 74
- (0 2 -2), 2θ 31.1, intensity 63
- (2 1 -3), 2θ 47.7, intensity 32